For PrTeAs, a DFT-relaxed cell (GGA-PBE, the Materials Project) gives the computed XRD peak list in this record (λ = 1.5418 Å (Cu Kα)).
No peak broadening, texture or thermal motion is included.

Atomic structure:
a = 7.8041 Å, b = 4.1684 Å, c = 10.3246 Å
α = 90.00°, β = 90.00°, γ = 90.00°
Fractional positions:
Pr: 0.2256 0.2500 0.1574
Pr: 0.2744 0.7500 0.6574
Pr: 0.7256 0.2500 0.3426
Pr: 0.7744 0.7500 0.8426
Te: 0.0910 0.2500 0.8510
Te: 0.4090 0.7500 0.3510
Te: 0.5910 0.2500 0.6490
Te: 0.9090 0.7500 0.1490
As: 0.0919 0.2500 0.4613
As: 0.4081 0.7500 0.9613
As: 0.5919 0.2500 0.0387
As: 0.9081 0.7500 0.5387

The 8 most intense peaks (5 to 70 degrees two-theta), by intensity:
35.74 deg, I 100
31.40 deg, I 67
38.76 deg, I 53
32.61 deg, I 51
28.34 deg, I 48
29.83 deg, I 36
43.42 deg, I 31
59.59 deg, I 30

For Pr3Zn2As6, a DFT-relaxed cell (GGA-PBE, the Materials Project) gives the computed XRD peak list in this record (λ = 1.5418 Å (Cu Kα)).
No peak broadening, texture or thermal motion is included.

Atomic structure:
a = 7.7843 Å, b = 5.7461 Å, c = 12.4329 Å
α = 90.00°, β = 105.50°, γ = 90.00°
Fractional positions:
Pr: 0.0556 0.2500 0.1049
Pr: 0.2726 0.7500 0.5136
Pr: 0.2890 0.2500 0.8406
Pr: 0.7110 0.7500 0.1594
Pr: 0.7274 0.2500 0.4864
Pr: 0.9444 0.7500 0.8951
Zn: 0.0810 0.2500 0.3688
Zn: 0.4530 0.2500 0.1288
Zn: 0.5470 0.7500 0.8712
Zn: 0.9190 0.7500 0.6312
As: 0.1107 0.7500 0.1737
As: 0.1588 0.2500 0.5749
As: 0.2175 0.7500 0.7589
As: 0.3112 0.7500 0.0464
As: 0.3734 0.2500 0.3218
As: 0.4889 0.2500 0.6499
As: 0.5111 0.7500 0.3501
As: 0.6266 0.7500 0.6782
As: 0.6888 0.2500 0.9536
As: 0.7825 0.2500 0.2411
As: 0.8412 0.7500 0.4251
As: 0.8893 0.2500 0.8263

The 8 most intense peaks (5 to 70 degrees two-theta), by intensity:
31.13 deg, I 100
32.98 deg, I 81
35.10 deg, I 63
38.48 deg, I 27
34.63 deg, I 22
47.25 deg, I 18
45.93 deg, I 16
39.30 deg, I 14

For Pr2ZnAs4, a DFT-relaxed cell (GGA-PBE, the Materials Project) gives the computed XRD peak list in this record (λ = 1.5418 Å (Cu Kα)).
No peak broadening, texture or thermal motion is included.

Atomic structure:
a = 3.9906 Å, b = 3.9906 Å, c = 10.3654 Å
α = 90.00°, β = 90.00°, γ = 90.00°
Fractional positions:
Pr: 0.0000 0.5000 0.2411
Pr: 0.5000 0.0000 0.7589
Zn: 0.0000 0.0000 0.5000
As: 0.0000 0.0000 0.0000
As: 0.0000 0.5000 0.6500
As: 0.5000 0.0000 0.3500
As: 0.5000 0.5000 0.0000

The 8 most intense peaks (5 to 70 degrees two-theta), by intensity:
36.25 deg, I 100
34.33 deg, I 42
45.46 deg, I 38
23.89 deg, I 28
49.55 deg, I 25
28.22 deg, I 23
58.18 deg, I 19
69.50 deg, I 18

For Pr3Zn2As6, a DFT-relaxed cell (GGA-PBE, the Materials Project) gives the computed XRD peak list in this record (λ = 1.5418 Å (Cu Kα)).
No peak broadening, texture or thermal motion is included.

Atomic structure:
a = 4.1255 Å, b = 11.9539 Å, c = 10.2653 Å
α = 90.00°, β = 90.00°, γ = 90.00°
Fractional positions:
Pr: 0.2500 0.0856 0.2315
Pr: 0.2500 0.4144 0.2315
Pr: 0.2500 0.7500 0.2359
Pr: 0.7500 0.2500 0.7641
Pr: 0.7500 0.5856 0.7685
Pr: 0.7500 0.9144 0.7685
Zn: 0.2500 0.5961 0.5034
Zn: 0.2500 0.9039 0.5034
Zn: 0.7500 0.0961 0.4966
Zn: 0.7500 0.4039 0.4966
As: 0.2500 0.0813 0.6550
As: 0.2500 0.2500 0.9977
As: 0.2500 0.4187 0.6550
As: 0.2500 0.5838 0.0017
As: 0.2500 0.7500 0.6630
As: 0.2500 0.9162 0.0017
As: 0.7500 0.0838 0.9983
As: 0.7500 0.2500 0.3370
As: 0.7500 0.4162 0.9983
As: 0.7500 0.5813 0.3450
As: 0.7500 0.7500 0.0023
As: 0.7500 0.9187 0.3450

The 8 most intense peaks (5 to 70 degrees two-theta), by intensity:
35.89 deg, I 100
43.89 deg, I 20
45.53 deg, I 17
34.04 deg, I 15
34.55 deg, I 14
34.96 deg, I 13
27.74 deg, I 12
65.09 deg, I 12

Repeat the second record exactly.
For Pr3Zn2As6, a DFT-relaxed cell (GGA-PBE, the Materials Project) gives the computed XRD peak list in this record (λ = 1.5418 Å (Cu Kα)).
No peak broadening, texture or thermal motion is included.

Atomic structure:
a = 7.7843 Å, b = 5.7461 Å, c = 12.4329 Å
α = 90.00°, β = 105.50°, γ = 90.00°
Fractional positions:
Pr: 0.0556 0.2500 0.1049
Pr: 0.2726 0.7500 0.5136
Pr: 0.2890 0.2500 0.8406
Pr: 0.7110 0.7500 0.1594
Pr: 0.7274 0.2500 0.4864
Pr: 0.9444 0.7500 0.8951
Zn: 0.0810 0.2500 0.3688
Zn: 0.4530 0.2500 0.1288
Zn: 0.5470 0.7500 0.8712
Zn: 0.9190 0.7500 0.6312
As: 0.1107 0.7500 0.1737
As: 0.1588 0.2500 0.5749
As: 0.2175 0.7500 0.7589
As: 0.3112 0.7500 0.0464
As: 0.3734 0.2500 0.3218
As: 0.4889 0.2500 0.6499
As: 0.5111 0.7500 0.3501
As: 0.6266 0.7500 0.6782
As: 0.6888 0.2500 0.9536
As: 0.7825 0.2500 0.2411
As: 0.8412 0.7500 0.4251
As: 0.8893 0.2500 0.8263

The 8 most intense peaks (5 to 70 degrees two-theta), by intensity:
31.13 deg, I 100
32.98 deg, I 81
35.10 deg, I 63
38.48 deg, I 27
34.63 deg, I 22
47.25 deg, I 18
45.93 deg, I 16
39.30 deg, I 14

- Which formula does entry 3 have?
  Pr2ZnAs4